Record 1
Structure and calculated powder X-ray diffraction pattern of PuB4Mo (a cell relaxed with GGA-PBE; CuKα).
Peak positions follow from Bragg's law for the DFT cell and can differ from measured ones.

Top 10 peaks for 2θ from 10° to 80°, in order of falling intensity:
39.65 deg, intensity 100; 24.52 deg, intensity 81; 30.71 deg, intensity 56; 37.00 deg, intensity 34; 27.28 deg, intensity 31; 30.60 deg, intensity 28; 60.03 deg, intensity 26; 42.46 deg, intensity 24; 45.57 deg, intensity 22; 21.20 deg, intensity 20

Cell and atoms:
```
PuB4Mo
1.0
6.013 0.000 0.000
0.000 11.686 0.000
0.000 0.000 3.631
Pu B Mo
4 16 4
direct
0.125 0.151 0.000
0.375 0.651 0.000
0.625 0.349 0.000
0.875 0.849 0.000
0.027 0.692 0.500
0.116 0.547 0.500
0.133 0.967 0.500
0.214 0.813 0.500
0.286 0.313 0.500
0.367 0.467 0.500
0.384 0.047 0.500
0.473 0.192 0.500
0.527 0.808 0.500
0.616 0.953 0.500
0.633 0.533 0.500
0.714 0.687 0.500
0.786 0.187 0.500
0.867 0.033 0.500
0.884 0.453 0.500
0.973 0.308 0.500
0.131 0.414 0.000
0.369 0.914 0.000
0.631 0.086 0.000
0.869 0.586 0.000
```

Record 2
Structure and calculated powder X-ray diffraction pattern of Bi2P2O9 (a cell relaxed with GGA-PBE; CuKα).
Peak positions follow from Bragg's law for the DFT cell and can differ from measured ones.

Top 10 peaks for 2θ from 10° to 80°, in order of falling intensity:
28.14 deg, intensity 100; 11.55 deg, intensity 89; 20.26 deg, intensity 77; 15.54 deg, intensity 63; 17.37 deg, intensity 52; 21.62 deg, intensity 48; 44.69 deg, intensity 46; 16.37 deg, intensity 44; 30.99 deg, intensity 40; 11.87 deg, intensity 38

Cell and atoms:
```
Bi2P2O9
1.0
15.330 0.000 0.000
0.000 7.006 0.000
0.000 0.000 8.534
Bi P O
8 8 36
direct
0.000 0.000 0.000
0.000 0.500 0.000
0.125 0.250 0.365
0.375 0.750 0.865
0.500 0.000 0.500
0.500 0.500 0.500
0.625 0.250 0.135
0.875 0.750 0.635
0.065 0.750 0.355
0.189 0.750 0.890
0.311 0.250 0.390
0.435 0.250 0.855
0.565 0.750 0.145
0.689 0.750 0.610
0.811 0.250 0.110
0.935 0.250 0.645
0.005 0.250 0.519
0.020 0.750 0.184
0.052 0.250 0.137
0.125 0.573 0.362
0.125 0.927 0.362
0.132 0.567 0.901
0.132 0.933 0.901
0.239 0.250 0.525
0.243 0.750 0.737
0.257 0.250 0.237
0.261 0.750 0.025
0.368 0.067 0.401
0.368 0.433 0.401
0.375 0.073 0.862
0.375 0.427 0.862
0.448 0.750 0.637
0.480 0.250 0.684
0.495 0.750 0.019
0.505 0.250 0.981
0.520 0.750 0.316
0.552 0.250 0.363
0.625 0.573 0.138
0.625 0.927 0.138
0.632 0.567 0.599
0.632 0.933 0.599
0.739 0.250 0.975
0.743 0.750 0.763
0.757 0.250 0.263
0.761 0.750 0.475
0.868 0.067 0.099
0.868 0.433 0.099
0.875 0.073 0.638
0.875 0.427 0.638
0.948 0.750 0.863
0.980 0.250 0.816
0.995 0.750 0.481
```

Record 3
Structure and calculated powder X-ray diffraction pattern of Ca2Zn3Ga (a cell relaxed with GGA-PBE; CuKα).
Peak positions follow from Bragg's law for the DFT cell and can differ from measured ones.

Top 10 peaks for 2θ from 10° to 80°, in order of falling intensity:
40.19 deg, intensity 100; 33.42 deg, intensity 77; 39.61 deg, intensity 61; 33.26 deg, intensity 54; 24.13 deg, intensity 31; 38.30 deg, intensity 27; 38.52 deg, intensity 25; 32.63 deg, intensity 25; 32.80 deg, intensity 25; 33.73 deg, intensity 22

Cell and atoms:
```
Ca2Zn3Ga
1.0
10.640 0.000 0.000
0.000 4.551 0.000
-5.065 0.000 5.365
Ca Zn Ga
4 6 2
direct
0.000 0.000 0.000
0.088 0.000 0.590
0.500 0.500 0.000
0.588 0.500 0.590
0.208 0.500 0.017
0.378 0.000 0.577
0.379 0.000 0.182
0.708 0.000 0.017
0.878 0.500 0.577
0.879 0.500 0.182
0.208 0.500 0.404
0.708 0.000 0.404
```

Record 4
Structure and calculated powder X-ray diffraction pattern of Ni2C3N6 (a cell relaxed with GGA-PBE; CuKα).
Peak positions follow from Bragg's law for the DFT cell and can differ from measured ones.

Top 10 peaks for 2θ from 10° to 80°, in order of falling intensity:
38.93 deg, intensity 100; 20.20 deg, intensity 78; 23.11 deg, intensity 53; 19.31 deg, intensity 52; 52.47 deg, intensity 44; 34.91 deg, intensity 35; 59.84 deg, intensity 29; 33.47 deg, intensity 21; 70.85 deg, intensity 16; 73.72 deg, intensity 13

Cell and atoms:
```
Ni2C3N6
1.0
2.677 1.546 9.195
-2.677 1.546 9.195
0.000 -3.091 9.195
Ni C N
4 6 12
direct
0.165 0.165 0.165
0.335 0.335 0.335
0.665 0.665 0.665
0.835 0.835 0.835
0.069 0.750 0.431
0.250 0.569 0.931
0.431 0.069 0.750
0.569 0.931 0.250
0.750 0.431 0.069
0.931 0.250 0.569
0.039 0.669 0.409
0.091 0.831 0.461
0.169 0.539 0.909
0.331 0.591 0.961
0.409 0.039 0.669
0.461 0.091 0.831
0.539 0.909 0.169
0.591 0.961 0.331
0.669 0.409 0.039
0.831 0.461 0.091
0.909 0.169 0.539
0.961 0.331 0.591
```

Record 5
Structure and calculated powder X-ray diffraction pattern of In23Se28 (a cell relaxed with GGA-PBE; CuKα).
Peak positions follow from Bragg's law for the DFT cell and can differ from measured ones.

Top 10 peaks for 2θ from 10° to 80°, in order of falling intensity:
30.77 deg, intensity 100; 43.91 deg, intensity 88; 33.04 deg, intensity 86; 29.89 deg, intensity 86; 31.79 deg, intensity 52; 37.49 deg, intensity 51; 45.56 deg, intensity 50; 30.34 deg, intensity 49; 46.59 deg, intensity 42; 44.33 deg, intensity 38

Cell and atoms:
```
In23Se28
1.0
9.605 -4.124 0.000
9.605 4.124 0.000
-6.033 0.000 17.695
In Se
23 28
direct
0.000 0.000 0.000
0.070 0.569 0.724
0.106 0.106 0.414
0.114 0.612 0.071
0.136 0.136 0.647
0.195 0.694 0.556
0.223 0.223 0.135
0.226 0.725 0.790
0.264 0.264 0.479
0.334 0.833 0.207
0.388 0.388 0.328
0.445 0.946 0.878
0.500 0.500 0.000
0.569 0.070 0.724
0.608 0.608 0.413
0.612 0.114 0.071
0.636 0.636 0.648
0.694 0.195 0.556
0.723 0.723 0.137
0.725 0.226 0.790
0.764 0.764 0.479
0.833 0.334 0.207
0.946 0.445 0.878
0.024 0.024 0.512
0.049 0.049 0.875
0.073 0.568 0.194
0.077 0.574 0.425
0.154 0.654 0.945
0.178 0.178 0.259
0.255 0.255 0.780
0.259 0.259 0.006
0.284 0.781 0.330
0.310 0.809 0.695
0.359 0.859 0.070
0.376 0.376 0.612
0.457 0.954 0.596
0.472 0.472 0.135
0.523 0.523 0.510
0.550 0.550 0.875
0.568 0.073 0.194
0.574 0.077 0.425
0.654 0.154 0.945
0.678 0.678 0.259
0.756 0.756 0.781
0.760 0.760 0.009
0.781 0.284 0.330
0.809 0.310 0.695
0.859 0.359 0.070
0.876 0.876 0.610
0.954 0.457 0.596
0.972 0.972 0.135
```

Record 6
Structure and calculated powder X-ray diffraction pattern of Li2LaNb6O18 (a cell relaxed with GGA-PBE; CuKα).
Peak positions follow from Bragg's law for the DFT cell and can differ from measured ones.

Top 10 peaks for 2θ from 10° to 80°, in order of falling intensity:
31.70 deg, intensity 100; 22.35 deg, intensity 94; 31.82 deg, intensity 50; 22.19 deg, intensity 46; 45.72 deg, intensity 25; 45.52 deg, intensity 24; 45.27 deg, intensity 22; 56.39 deg, intensity 21; 56.55 deg, intensity 21; 56.68 deg, intensity 20

Cell and atoms:
```
Li2LaNb6O18
1.0
3.969 0.000 0.000
0.000 8.012 0.000
0.000 0.000 11.957
Li La Nb O
2 1 6 18
direct
0.000 0.000 0.163
0.000 0.000 0.837
0.000 0.000 0.500
0.500 0.255 0.000
0.500 0.258 0.329
0.500 0.258 0.671
0.500 0.742 0.329
0.500 0.742 0.671
0.500 0.745 0.000
0.000 0.227 0.340
0.000 0.227 0.660
0.000 0.231 0.000
0.000 0.769 0.000
0.000 0.773 0.340
0.000 0.773 0.660
0.500 0.000 0.000
0.500 0.000 0.341
0.500 0.000 0.659
0.500 0.222 0.500
0.500 0.231 0.168
0.500 0.231 0.832
0.500 0.500 0.000
0.500 0.500 0.336
0.500 0.500 0.664
0.500 0.769 0.168
0.500 0.769 0.832
0.500 0.778 0.500
```